Structure and simulated powder XRD pattern of Li2VOF3 (a structure optimized by DFT (PBE+U); Cu Kα (λ = 1.5418 Å)).

Peak list (10 most intense, 2θ = 15–90°, by angle)
Position (°2θ)  I_rel  hkl
16.6  56  0 1 1
25.3  100  1 1 -1
32.6  14  0 1 -3
38.0  13  1 2 2
38.2  12  -1 2 2
40.2  19  2 -1 1
41.0  20  1 0 4
52.0  12  2 2 -2
53.9  17  1 1 -5
62.1  12  0 2 6

Cell and atoms:
a b c (Å): 5.0545 6.0061 9.8256
angles (deg): 84.32 89.82 89.79
Space group P1 (No. 1)
Asymmetric unit:
Li 0.0000 0.0000 0.0000 x1
Li 0.0009 0.4968 0.5028 x1
Li 0.0018 0.4130 0.8590 x1
Li 0.0069 0.9128 0.3646 x1
Li 0.5287 0.1682 0.0977 x1
Li 0.5318 0.7366 0.2505 x1
Li 0.5353 0.2496 0.7508 x1
Li 0.5385 0.6628 0.6109 x1
V 0.5454 0.1027 0.4682 x1
V 0.5462 0.6035 0.9681 x1
V 0.9915 0.3520 0.2197 x1
V 0.9950 0.8521 0.7172 x1
O 0.7264 0.6503 0.7985 x1
O 0.7324 0.1765 0.3091 x1
O 0.8096 0.3974 0.0468 x1
O 0.8195 0.8916 0.5472 x1
F 0.1806 0.0726 0.1615 x1
F 0.1851 0.5671 0.6617 x1
F 0.2112 0.7906 0.9036 x1
F 0.2122 0.2928 0.4040 x1
F 0.3241 0.5374 0.1521 x1
F 0.3310 0.0368 0.6532 x1
F 0.3562 0.3187 0.9120 x1
F 0.3629 0.8231 0.4105 x1
F 0.6675 0.3710 0.5648 x1
F 0.6677 0.8762 0.0672 x1
F 0.8685 0.1241 0.8130 x1
F 0.8731 0.6296 0.3104 x1